# Ca3Sn3Ir
Computed XRD peak list, copper Kα. Input: a structure optimized by DFT (PBE).
Lines closer than 0.1° are merged.

Crystal structure
```
data_Ca3Sn3Ir
_chemical_formula_sum 'Ca12 Sn12 Ir4'
_cell_length_a 11.295
_cell_length_b 4.612
_cell_length_c 15.362
_cell_angle_alpha 90.00
_cell_angle_beta 108.87
_cell_angle_gamma 90.00
_symmetry_space_group_name_H-M 'C 1 2/m 1'
_symmetry_Int_Tables_number 12
loop_
_symmetry_equiv_pos_as_xyz
'x,y,z'
'-x,-y,-z'
'-x,y,-z'
'x,-y,z'
'x+1/2,y+1/2,z'
'-x+1/2,-y+1/2,-z'
'-x+1/2,y+1/2,-z'
'x+1/2,-y+1/2,z'
loop_
_atom_site_label
_atom_site_type_symbol
_atom_site_fract_x
_atom_site_fract_y
_atom_site_fract_z
Ca1 Ca 0.021 0.000 0.385
Ca2 Ca 0.098 0.000 0.919
Ca3 Ca 0.241 0.000 0.240
Sn1 Sn 0.032 0.500 0.239
Sn2 Sn 0.117 0.500 0.077
Sn3 Sn 0.156 0.500 0.537
Ir1 Ir 0.241 0.500 0.387
```

Largest 10 diffraction maxima, by angle, 5 to 70 degrees two-theta:
index	two_theta	I/Imax
0 0 1	6.08	1000
2 0 -1	15.71	513
1 1 0	20.98	310
2 0 -4	24.77	240
1 1 3	29.75	282
1 1 -4	30.29	268
3 1 2	37.05	774
4 0 -5	37.64	261
0 2 0	39.06	356
1 1 -7	46.16	213